Record 1
This entry pairs a crystal structure of DyNiSn6 with its computed powder XRD pattern. Radiation: Cu Kα X-rays. Structure: a PBE-relaxed structure.

Cell and atoms:
```
data_DyNiSn6
_chemical_formula_sum 'Dy2 Ni2 Sn12'
_cell_length_a 6.342
_cell_length_b 10.743
_cell_length_c 6.636
_cell_angle_alpha 90.00
_cell_angle_beta 116.35
_cell_angle_gamma 90.00
_space_group_name_H-M_alt 'C 1 2/m 1'
_space_group_IT_number 12
_space_group_name_Hall '-C 2y'
loop_
_atom_site_label
_atom_site_type_symbol
_atom_site_fract_x
_atom_site_fract_y
_atom_site_fract_z
Dy1 Dy 0.000 0.000 0.000
Ni1 Ni 0.000 0.000 0.500
Sn1 Sn 0.059 0.500 0.283
Sn2 Sn 0.116 0.224 0.748
```

Principal peaks in the range 2θ from 10° to 90°, sorted by position:
27.37°, I = 27; 28.24°, I = 66; 30.06°, I = 32; 31.48°, I = 26; 32.81°, I = 100; 33.36°, I = 76; 34.48°, I = 41; 37.01°, I = 64; 44.31°, I = 30; 47.66°, I = 26



Record 2
This entry pairs a crystal structure of Dy2Ni7Sn3 with its computed powder XRD pattern. Radiation: Cu Kα X-rays. Structure: a PBE-relaxed structure.

Cell and atoms:
```
data_Dy2Ni7Sn3
_chemical_formula_sum 'Dy16 Ni56 Sn24'
_cell_length_a 8.607
_cell_length_b 23.850
_cell_length_c 7.556
_cell_angle_alpha 90.00
_cell_angle_beta 90.00
_cell_angle_gamma 90.00
_space_group_name_H-M_alt 'C m c e'
_space_group_IT_number 64
_space_group_name_Hall '-C 2ac 2'
loop_
_atom_site_label
_atom_site_type_symbol
_atom_site_fract_x
_atom_site_fract_y
_atom_site_fract_z
Dy1 Dy 0.000 0.194 0.073
Dy2 Dy 0.206 0.000 0.500
Ni1 Ni 0.000 0.046 0.149
Ni2 Ni 0.000 0.101 0.445
Ni3 Ni 0.000 0.165 0.690
Ni4 Ni 0.149 0.197 0.421
Ni5 Ni 0.240 0.116 0.908
Sn1 Sn 0.000 0.062 0.797
Sn2 Sn 0.250 0.106 0.250
Sn3 Sn 0.250 0.219 0.750
```

Principal peaks in the range 2θ from 10° to 90°, sorted by position:
28.16°, I = 43; 32.41°, I = 83; 32.70°, I = 41; 36.67°, I = 100; 37.72°, I = 36; 38.50°, I = 90; 38.97°, I = 38; 41.99°, I = 63; 42.26°, I = 64; 42.49°, I = 68



Record 3
This entry pairs a crystal structure of Dy4Ni12Sn25 with its computed powder XRD pattern. Radiation: Cu Kα X-rays. Structure: a PBE-relaxed structure.

Cell and atoms:
```
data_Dy4Ni12Sn25
_chemical_formula_sum 'Dy8 Ni24 Sn50'
_cell_length_a 11.962
_cell_length_b 11.962
_cell_length_c 11.962
_cell_angle_alpha 90.00
_cell_angle_beta 90.00
_cell_angle_gamma 90.00
_space_group_name_H-M_alt 'I m -3'
_space_group_IT_number 204
_space_group_name_Hall '-I 2 2 3'
loop_
_atom_site_label
_atom_site_type_symbol
_atom_site_fract_x
_atom_site_fract_y
_atom_site_fract_z
Dy1 Dy 0.250 0.250 0.250
Ni1 Ni 0.000 0.162 0.320
Sn1 Sn 0.000 0.000 0.000
Sn2 Sn 0.000 0.248 0.127
Sn3 Sn 0.000 0.370 0.372
```

Principal peaks in the range 2θ from 10° to 90°, sorted by position:
31.74°, I = 100; 33.50°, I = 99; 36.81°, I = 78; 38.37°, I = 21; 44.15°, I = 39; 46.82°, I = 26; 57.67°, I = 21; 62.07°, I = 26; 63.14°, I = 35; 87.92°, I = 25



Record 4
This entry pairs a crystal structure of Dy2Ni3Sn2 with its computed powder XRD pattern. Radiation: Cu Kα X-rays. Structure: a PBE-relaxed structure.

Cell and atoms:
```
data_Dy2Ni3Sn2
_chemical_formula_sum 'Dy8 Ni12 Sn8'
_cell_length_a 8.314
_cell_length_b 8.314
_cell_length_c 8.314
_cell_angle_alpha 90.00
_cell_angle_beta 90.00
_cell_angle_gamma 90.00
_space_group_name_H-M_alt 'I 21 3'
_space_group_IT_number 199
_space_group_name_Hall 'I 2b 2c 3'
loop_
_atom_site_label
_atom_site_type_symbol
_atom_site_fract_x
_atom_site_fract_y
_atom_site_fract_z
Dy1 Dy 0.248 0.248 0.248
Ni1 Ni 0.000 0.250 0.035
Sn1 Sn 0.041 0.459 0.541
```

Principal peaks in the range 2θ from 10° to 90°, sorted by position:
30.41°, I = 100; 34.10°, I = 14; 37.47°, I = 22; 40.60°, I = 30; 43.54°, I = 37; 51.56°, I = 11; 54.03°, I = 30; 63.27°, I = 18; 75.91°, I = 15; 87.88°, I = 10



Record 5
This entry pairs a crystal structure of Dy2NiSn3 with its computed powder XRD pattern. Radiation: Cu Kα X-rays. Structure: a PBE-relaxed structure.

Cell and atoms:
```
data_Dy2NiSn3
_chemical_formula_sum 'Dy4 Ni2 Sn6'
_cell_length_a 11.059
_cell_length_b 4.550
_cell_length_c 7.230
_cell_angle_alpha 90.00
_cell_angle_beta 129.24
_cell_angle_gamma 90.00
_space_group_name_H-M_alt 'C 1 m 1'
_space_group_IT_number 8
_space_group_name_Hall 'C -2y'
loop_
_atom_site_label
_atom_site_type_symbol
_atom_site_fract_x
_atom_site_fract_y
_atom_site_fract_z
Dy1 Dy 0.000 0.000 0.000
Dy2 Dy 0.129 0.000 0.607
Ni1 Ni 0.249 0.500 0.051
Sn1 Sn 0.229 0.500 0.396
Sn2 Sn 0.377 0.000 0.177
Sn3 Sn 0.463 0.000 0.682
```

Principal peaks in the range 2θ from 10° to 90°, sorted by position:
31.47°, I = 77; 32.86°, I = 19; 33.13°, I = 100; 33.43°, I = 30; 33.57°, I = 35; 37.18°, I = 43; 39.12°, I = 26; 39.62°, I = 49; 62.23°, I = 19; 70.28°, I = 20



Record 6
This entry pairs a crystal structure of Tb2DyNi with its computed powder XRD pattern. Radiation: Cu Kα X-rays. Structure: a PBE-relaxed structure.

Cell and atoms:
```
data_Tb2DyNi
_chemical_formula_sum 'Tb8 Dy4 Ni4'
_cell_length_a 6.860
_cell_length_b 9.629
_cell_length_c 6.320
_cell_angle_alpha 90.00
_cell_angle_beta 90.00
_cell_angle_gamma 90.00
_space_group_name_H-M_alt 'P n m a'
_space_group_IT_number 62
_space_group_name_Hall '-P 2ac 2n'
loop_
_atom_site_label
_atom_site_type_symbol
_atom_site_fract_x
_atom_site_fract_y
_atom_site_fract_z
Tb1 Tb 0.179 0.066 0.177
Dy1 Dy 0.034 0.250 0.641
Ni1 Ni 0.110 0.750 0.944
```

Principal peaks in the range 2θ from 10° to 90°, sorted by position:
31.12°, I = 88; 31.26°, I = 100; 32.04°, I = 58; 32.55°, I = 69; 33.94°, I = 51; 35.12°, I = 53; 38.41°, I = 22; 49.03°, I = 27; 53.73°, I = 24; 57.43°, I = 47



Record 7
This entry pairs a crystal structure of Tb2DyNi2 with its computed powder XRD pattern. Radiation: Cu Kα X-rays. Structure: a PBE-relaxed structure.

Cell and atoms:
```
data_Tb2DyNi2
_chemical_formula_sum 'Tb4 Dy2 Ni4'
_cell_length_a 7.548
_cell_length_b 7.548
_cell_length_c 3.858
_cell_angle_alpha 90.00
_cell_angle_beta 90.00
_cell_angle_gamma 90.00
_space_group_name_H-M_alt 'P 4/m b m'
_space_group_IT_number 127
_space_group_name_Hall '-P 4 2ab'
loop_
_atom_site_label
_atom_site_type_symbol
_atom_site_fract_x
_atom_site_fract_y
_atom_site_fract_z
Tb1 Tb 0.166 0.334 0.000
Dy1 Dy 0.000 0.000 0.500
Ni1 Ni 0.122 0.622 0.500
```

Principal peaks in the range 2θ from 10° to 90°, sorted by position:
26.40°, I = 21; 28.55°, I = 24; 33.21°, I = 56; 33.58°, I = 15; 35.33°, I = 100; 37.68°, I = 57; 47.11°, I = 19; 55.56°, I = 13; 57.00°, I = 21; 61.84°, I = 26



Record 8
This entry pairs a crystal structure of Dy5Ni2Te2 with its computed powder XRD pattern. Radiation: Cu Kα X-rays. Structure: a PBE-relaxed structure.

Cell and atoms:
```
data_Dy5Ni2Te2
_chemical_formula_sum 'Dy20 Ni8 Te8'
_cell_length_a 15.510
_cell_length_b 7.677
_cell_length_c 7.655
_cell_angle_alpha 90.00
_cell_angle_beta 90.00
_cell_angle_gamma 90.00
_space_group_name_H-M_alt 'C m c e'
_space_group_IT_number 64
_space_group_name_Hall '-C 2ac 2'
loop_
_atom_site_label
_atom_site_type_symbol
_atom_site_fract_x
_atom_site_fract_y
_atom_site_fract_z
Dy1 Dy 0.000 0.000 0.000
Dy2 Dy 0.117 0.159 0.341
Ni1 Ni 0.000 0.133 0.629
Te1 Te 0.208 0.000 0.000
```

Principal peaks in the range 2θ from 10° to 90°, sorted by position:
25.97°, I = 38; 31.33°, I = 41; 32.86°, I = 68; 33.05°, I = 32; 33.28°, I = 58; 34.92°, I = 67; 37.55°, I = 100; 39.18°, I = 39; 59.18°, I = 33; 66.58°, I = 32



Record 9
This entry pairs a crystal structure of Dy12Ni6Te with its computed powder XRD pattern. Radiation: Cu Kα X-rays. Structure: a PBE-relaxed structure.

Cell and atoms:
```
data_Dy12Ni6Te
_chemical_formula_sum 'Dy24 Ni12 Te2'
_cell_length_a 9.750
_cell_length_b 9.750
_cell_length_c 9.750
_cell_angle_alpha 90.00
_cell_angle_beta 90.00
_cell_angle_gamma 90.00
_space_group_name_H-M_alt 'I m -3'
_space_group_IT_number 204
_space_group_name_Hall '-I 2 2 3'
loop_
_atom_site_label
_atom_site_type_symbol
_atom_site_fract_x
_atom_site_fract_y
_atom_site_fract_z
Dy1 Dy 0.000 0.188 0.308
Ni1 Ni 0.000 0.376 0.500
Te1 Te 0.000 0.000 0.000
```

Principal peaks in the range 2θ from 10° to 90°, sorted by position:
28.96°, I = 47; 31.79°, I = 38; 34.42°, I = 100; 47.55°, I = 22; 54.91°, I = 34; 56.64°, I = 14; 58.34°, I = 36; 67.99°, I = 17; 84.27°, I = 17; 85.71°, I = 17



Record 10
This entry pairs a crystal structure of DyThNi3 with its computed powder XRD pattern. Radiation: Cu Kα X-rays. Structure: a PBE-relaxed structure.

Cell and atoms:
```
data_DyThNi3
_chemical_formula_sum 'Dy4 Th4 Ni12'
_cell_length_a 3.729
_cell_length_b 25.198
_cell_length_c 4.059
_cell_angle_alpha 90.00
_cell_angle_beta 90.00
_cell_angle_gamma 90.00
_space_group_name_H-M_alt 'C m c m'
_space_group_IT_number 63
_space_group_name_Hall '-C 2c 2'
loop_
_atom_site_label
_atom_site_type_symbol
_atom_site_fract_x
_atom_site_fract_y
_atom_site_fract_z
Dy1 Dy 0.000 0.067 0.250
Th1 Th 0.000 0.196 0.750
Ni1 Ni 0.000 0.321 0.750
Ni2 Ni 0.000 0.385 0.250
Ni3 Ni 0.000 0.477 0.250
```

Principal peaks in the range 2θ from 10° to 90°, sorted by position:
26.12°, I = 58; 28.33°, I = 34; 32.80°, I = 19; 34.35°, I = 100; 34.63°, I = 49; 37.29°, I = 28; 44.64°, I = 30; 46.31°, I = 19; 48.84°, I = 44; 57.70°, I = 23



Record 11
This entry pairs a crystal structure of Dy5Tl2Ni with its computed powder XRD pattern. Radiation: Cu Kα X-rays. Structure: a PBE-relaxed structure.

Cell and atoms:
```
data_Dy5Tl2Ni
_chemical_formula_sum 'Dy10 Tl4 Ni2'
_cell_length_a 7.332
_cell_length_b 12.347
_cell_length_c 4.757
_cell_angle_alpha 90.00
_cell_angle_beta 90.00
_cell_angle_gamma 90.00
_space_group_name_H-M_alt 'P b a m'
_space_group_IT_number 55
_space_group_name_Hall '-P 2 2ab'
loop_
_atom_site_label
_atom_site_type_symbol
_atom_site_fract_x
_atom_site_fract_y
_atom_site_fract_z
Dy1 Dy 0.000 0.000 0.000
Dy2 Dy 0.124 0.293 0.000
Dy3 Dy 0.178 0.578 0.500
Tl1 Tl 0.098 0.836 0.500
Ni1 Ni 0.000 0.500 0.000
```

Principal peaks in the range 2θ from 10° to 90°, sorted by position:
31.22°, I = 66; 31.45°, I = 39; 31.65°, I = 100; 32.71°, I = 20; 34.12°, I = 23; 34.64°, I = 37; 37.82°, I = 44; 49.98°, I = 22; 50.87°, I = 19; 67.28°, I = 16